No. 1
# SiO2
Simulated X-ray powder pattern, CuKα. Input: a DFT-relaxed cell (PBE, the Materials Project).
Kinematic intensities with the Lorentz-polarization factor, no thermal factor.

Top 6 peaks for 10 to 90 degrees two-theta, by intensity:
- 2θ = 18.65°, rel. 100.0, hkl 1 1 1
- 2θ = 10.22°, rel. 96.4, hkl 0 0 2
- 2θ = 23.69°, rel. 71.4, hkl 1 1 3
- 2θ = 20.68°, rel. 65.4, hkl 1 1 2
- 2θ = 24.08°, rel. 46.9, hkl 0 2 4
- 2θ = 16.15°, rel. 45.8, hkl 0 2 2

Cell and atoms:
```
data_SiO2
_chemical_formula_sum 'Si24 O48'
_symmetry_space_group_name_H-M 'C m c m'
_symmetry_Int_Tables_number 63
_symmetry_space_group_name_Hall '-C 2c 2'
_cell_length_a 5.2781
_cell_length_b 14.1900
_cell_length_c 17.3165
_cell_angle_alpha 90.00
_cell_angle_beta 90.00
_cell_angle_gamma 90.00
loop_
_atom_site_label
_atom_site_fract_x
_atom_site_fract_y
_atom_site_fract_z
Si1 0.0000 0.0288 0.0907
Si2 0.0000 0.2424 0.0537
Si3 0.0000 0.4289 0.1576
O1 0.0000 0.0000 0.0000
O2 0.0000 0.1427 0.0997
O3 0.0000 0.3261 0.1171
O4 0.0000 0.4139 0.2500
O5 0.2502 0.0125 0.6324
O6 0.2500 0.2500 0.0000
```


No. 2
# InAgTe2
Simulated X-ray powder pattern, CuKα. Input: a DFT-relaxed cell (PBE, the Materials Project).
Kinematic intensities with the Lorentz-polarization factor, no thermal factor.

Top 6 peaks for 10 to 90 degrees two-theta, by intensity:
- 2θ = 29.48°, rel. 100.0, hkl 1 0 4
- 2θ = 42.05°, rel. 37.7, hkl 1 1 0
- 2θ = 42.31°, rel. 36.7, hkl 0 1 8
- 2θ = 52.19°, rel. 19.7, hkl 0 2 4
- 2θ = 69.17°, rel. 16.5, hkl 2 1 4
- 2θ = 69.55°, rel. 16.1, hkl 1 1 12

Cell and atoms:
```
data_InAgTe2
_chemical_formula_sum 'In3 Ag3 Te6'
_symmetry_space_group_name_H-M 'R -3 m'
_symmetry_Int_Tables_number 166
_symmetry_space_group_name_Hall '-R 3 2"'
_cell_length_a 4.2971
_cell_length_b 4.2971
_cell_length_c 20.8664
_cell_angle_alpha 90.00
_cell_angle_beta 90.00
_cell_angle_gamma 120.00
loop_
_atom_site_label
_atom_site_fract_x
_atom_site_fract_y
_atom_site_fract_z
In1 0.0000 0.0000 0.0000
Ag1 0.0000 0.0000 0.5000
Te1 0.0000 0.0000 0.2478
```


No. 3
# Bi4P3O12
Simulated X-ray powder pattern, CuKα. Input: a DFT-relaxed cell (PBE, the Materials Project).
Kinematic intensities with the Lorentz-polarization factor, no thermal factor.

Top 6 peaks for 10 to 90 degrees two-theta, by intensity:
- 2θ = 27.14°, rel. 100.0, hkl 3 1 0
- 2θ = 32.24°, rel. 78.9, hkl 3 2 1
- 2θ = 44.47°, rel. 61.1, hkl 4 3 1
- 2θ = 20.95°, rel. 58.9, hkl 2 1 1
- 2θ = 42.63°, rel. 40.9, hkl 4 2 2
- 2θ = 54.44°, rel. 30.4, hkl 6 1 1

Cell and atoms:
```
data_Bi4P3O12
_chemical_formula_sum 'Bi16 P12 O48'
_symmetry_space_group_name_H-M 'I -4 3 d'
_symmetry_Int_Tables_number 220
_symmetry_space_group_name_Hall 'I -4bd 2c 3'
_cell_length_a 10.3890
_cell_length_b 10.3890
_cell_length_c 10.3890
_cell_angle_alpha 90.00
_cell_angle_beta 90.00
_cell_angle_gamma 90.00
loop_
_atom_site_label
_atom_site_fract_x
_atom_site_fract_y
_atom_site_fract_z
Bi1 0.0767 0.4233 0.5767
P1 0.0000 0.2500 0.8750
O1 0.0008 0.3747 0.7915
```


No. 4
# Tm2GaCo2
Simulated X-ray powder pattern, CuKα. Input: a DFT-relaxed cell (PBE, the Materials Project).
Kinematic intensities with the Lorentz-polarization factor, no thermal factor.

Top 6 peaks for 10 to 90 degrees two-theta, by intensity:
- 2θ = 35.46°, rel. 100.0, hkl 1 1 2
- 2θ = 39.92°, rel. 47.7, hkl 0 2 2
- 2θ = 27.75°, rel. 35.7, hkl 1 1 0
- 2θ = 41.80°, rel. 33.3, hkl 1 2 1
- 2θ = 36.80°, rel. 26.9, hkl 0 1 3
- 2θ = 45.38°, rel. 24.0, hkl 2 0 0

Cell and atoms:
```
data_Tm2GaCo2
_chemical_formula_sum 'Tm4 Ga2 Co4'
_symmetry_space_group_name_H-M 'I m m m'
_symmetry_Int_Tables_number 71
_symmetry_space_group_name_Hall '-I 2 2'
_cell_length_a 3.9973
_cell_length_b 5.4082
_cell_length_c 8.2129
_cell_angle_alpha 90.00
_cell_angle_beta 90.00
_cell_angle_gamma 90.00
loop_
_atom_site_label
_atom_site_fract_x
_atom_site_fract_y
_atom_site_fract_z
Tm1 0.0000 0.0000 0.2058
Ga1 0.0000 0.5000 0.0000
Co1 0.0000 0.2828 0.5000
```


No. 5
# U3Bi4
Simulated X-ray powder pattern, CuKα. Input: a DFT-relaxed cell (PBE, the Materials Project).
Kinematic intensities with the Lorentz-polarization factor, no thermal factor.

Top 6 peaks for 10 to 90 degrees two-theta, by intensity:
- 2θ = 30.19°, rel. 100.0, hkl 3 1 0
- 2θ = 35.90°, rel. 79.3, hkl 3 2 1
- 2θ = 61.02°, rel. 30.7, hkl 6 1 1
- 2θ = 47.59°, rel. 17.9, hkl 4 2 2
- 2θ = 64.52°, rel. 17.2, hkl 5 4 1
- 2θ = 43.22°, rel. 16.2, hkl 4 2 0

Cell and atoms:
```
data_U3Bi4
_chemical_formula_sum 'U12 Bi16'
_symmetry_space_group_name_H-M 'I -4 3 d'
_symmetry_Int_Tables_number 220
_symmetry_space_group_name_Hall 'I -4bd 2c 3'
_cell_length_a 9.3606
_cell_length_b 9.3606
_cell_length_c 9.3606
_cell_angle_alpha 90.00
_cell_angle_beta 90.00
_cell_angle_gamma 90.00
loop_
_atom_site_label
_atom_site_fract_x
_atom_site_fract_y
_atom_site_fract_z
U1 0.0000 0.2500 0.3750
Bi1 0.0790 0.0790 0.0790
```


No. 6
# La4Ni12B7
Simulated X-ray powder pattern, CuKα. Input: a DFT-relaxed cell (PBE, the Materials Project).
Kinematic intensities with the Lorentz-polarization factor, no thermal factor.

Top 6 peaks for 10 to 90 degrees two-theta, by intensity:
- 2θ = 41.00°, rel. 100.0, hkl 2 2 -2
- 2θ = 33.11°, rel. 84.4, hkl 1 1 3
- 2θ = 32.24°, rel. 60.4, hkl 3 1 1
- 2θ = 43.01°, rel. 33.7, hkl 2 2 2
- 2θ = 35.25°, rel. 29.4, hkl 4 0 -2
- 2θ = 36.46°, rel. 24.2, hkl 2 0 -4

Cell and atoms:
```
data_La4Ni12B7
_chemical_formula_sum 'La8 Ni24 B14'
_symmetry_space_group_name_H-M 'C 1 m 1'
_symmetry_Int_Tables_number 8
_cell_length_a 10.9343
_cell_length_b 5.2607
_cell_length_c 10.4158
_cell_angle_alpha 90.00
_cell_angle_beta 97.94
_cell_angle_gamma 90.00
loop_
_symmetry_equiv_pos_as_xyz
'x,y,z'
'x,-y,z'
'x+1/2,y+1/2,z'
'x+1/2,-y+1/2,z'
loop_
_atom_site_label
_atom_site_fract_x
_atom_site_fract_y
_atom_site_fract_z
La1 0.0000 0.0000 0.0000
La2 0.0061 0.5000 0.5238
La3 0.1694 0.5000 0.8208
La4 0.2107 0.0000 0.3169
Ni1 0.0855 0.5000 0.1140
Ni2 0.0948 0.0000 0.6746
Ni3 0.2489 0.2449 0.5725
Ni4 0.2638 0.2386 0.0638
Ni5 0.3106 0.5000 0.3967
Ni6 0.3940 0.0000 0.9273
Ni7 0.4222 0.2630 0.7444
Ni8 0.4611 0.2536 0.2719
B1 0.1261 0.5000 0.3005
B2 0.2169 0.0000 0.8857
B3 0.2664 0.5000 0.2060
B4 0.2822 0.0000 0.7379
B5 0.4047 0.5000 0.5830
B6 0.4070 0.0000 0.1210
B7 0.4926 0.5000 0.4425
```


No. 7
# Sr2Ga3Au3
Simulated X-ray powder pattern, CuKα. Input: a DFT-relaxed cell (PBE, the Materials Project).
Kinematic intensities with the Lorentz-polarization factor, no thermal factor.

Top 6 peaks for 10 to 90 degrees two-theta, by intensity:
- 2θ = 28.81°, rel. 100.0, hkl 1 0 0
- 2θ = 43.27°, rel. 54.8, hkl 1 0 8
- 2θ = 41.20°, rel. 38.5, hkl 1 1 0
- 2θ = 31.58°, rel. 32.4, hkl 0 0 8
- 2θ = 52.82°, rel. 30.5, hkl 1 1 8
- 2θ = 11.71°, rel. 27.6, hkl 0 0 3

Cell and atoms:
```
data_Sr2Ga3Au3
_chemical_formula_sum 'Sr2 Ga3 Au3'
_symmetry_space_group_name_H-M 'P 4/m m m'
_symmetry_Int_Tables_number 123
_symmetry_space_group_name_Hall '-P 4 2'
_cell_length_a 3.0988
_cell_length_b 3.0988
_cell_length_c 22.6649
_cell_angle_alpha 90.00
_cell_angle_beta 90.00
_cell_angle_gamma 90.00
loop_
_atom_site_label
_atom_site_fract_x
_atom_site_fract_y
_atom_site_fract_z
Sr1 0.0000 0.0000 0.2460
Ga1 0.0000 0.0000 0.0000
Ga2 0.0000 0.0000 0.3868
Au1 0.0000 0.0000 0.1134
Au2 0.0000 0.0000 0.5000
```


No. 8
# Sr4IrN4
Simulated X-ray powder pattern, CuKα. Input: a DFT-relaxed cell (PBE, the Materials Project).
Kinematic intensities with the Lorentz-polarization factor, no thermal factor.

Top 6 peaks for 10 to 90 degrees two-theta, by intensity:
- 2θ = 32.26°, rel. 100.0, hkl 1 1 -2
- 2θ = 29.37°, rel. 98.1, hkl 2 0 0
- 2θ = 33.86°, rel. 92.4, hkl 1 -1 2
- 2θ = 29.16°, rel. 63.0, hkl 0 2 1
- 2θ = 30.15°, rel. 49.4, hkl 0 1 3
- 2θ = 35.61°, rel. 45.6, hkl 2 2 1

Cell and atoms:
```
data_Sr4IrN4
_chemical_formula_sum 'Sr8 Ir2 N8'
_symmetry_space_group_name_H-M 'P -1'
_symmetry_Int_Tables_number 2
_cell_length_a 6.3316
_cell_length_b 6.3561
_cell_length_c 9.1746
_cell_angle_alpha 69.84
_cell_angle_beta 80.39
_cell_angle_gamma 74.54
loop_
_symmetry_equiv_pos_as_xyz
'x,y,z'
'-x,-y,-z'
loop_
_atom_site_label
_atom_site_fract_x
_atom_site_fract_y
_atom_site_fract_z
Sr1 0.2063 0.4337 0.3512
Sr2 0.2226 0.9717 0.1220
Sr3 0.2511 0.5679 0.9048
Sr4 0.2911 0.8359 0.5150
Ir1 0.2730 0.1729 0.7363
N1 0.0179 0.3117 0.8832
N2 0.0303 0.1526 0.6244
N3 0.4691 0.3707 0.7126
N4 0.4945 0.8925 0.7299
```


No. 9
# SrS2O10
Simulated X-ray powder pattern, CuKα. Input: a DFT-relaxed cell (PBE, the Materials Project).
Kinematic intensities with the Lorentz-polarization factor, no thermal factor.

Top 6 peaks for 10 to 90 degrees two-theta, by intensity:
- 2θ = 30.43°, rel. 100.0, hkl 1 1 3
- 2θ = 21.24°, rel. 73.1, hkl 1 0 3
- 2θ = 18.12°, rel. 69.1, hkl 1 0 2
- 2θ = 15.97°, rel. 60.0, hkl 1 0 1
- 2θ = 40.25°, rel. 46.8, hkl 1 1 6
- 2θ = 26.46°, rel. 44.4, hkl 1 1 0

Cell and atoms:
```
data_SrS2O10
_chemical_formula_sum 'Sr3 S6 O30'
_symmetry_space_group_name_H-M 'P 62'
_symmetry_Int_Tables_number 171
_cell_length_a 6.7374
_cell_length_b 6.7374
_cell_length_c 18.0013
_cell_angle_alpha 90.00
_cell_angle_beta 90.00
_cell_angle_gamma 120.00
loop_
_symmetry_equiv_pos_as_xyz
'x,y,z'
'x-y,x,z+1/3'
'-y,x-y,z+2/3'
'-x,-y,z'
'-x+y,-x,z+1/3'
'y,-x+y,z+2/3'
loop_
_atom_site_label
_atom_site_fract_x
_atom_site_fract_y
_atom_site_fract_z
Sr1 0.0000 0.0000 0.0000
S1 0.0914 0.6906 0.1663
O1 0.0002 0.2526 0.0997
O2 0.0143 0.7515 0.2354
O3 0.2372 0.5694 0.8306
O4 0.2650 0.7074 0.6828
O5 0.2728 0.5512 0.6500
```


No. 10
# KGdCO3F2
Simulated X-ray powder pattern, CuKα. Input: a DFT-relaxed cell (PBE, the Materials Project).
Kinematic intensities with the Lorentz-polarization factor, no thermal factor.

Top 6 peaks for 10 to 90 degrees two-theta, by intensity:
- 2θ = 16.06°, rel. 100.0, hkl 0 0 4
- 2θ = 26.49°, rel. 99.4, hkl 2 0 2
- 2θ = 17.60°, rel. 77.1, hkl 0 2 2
- 2θ = 29.44°, rel. 68.7, hkl 1 3 3
- 2θ = 27.08°, rel. 59.8, hkl 1 3 1
- 2θ = 28.93°, rel. 54.8, hkl 0 2 6

Cell and atoms:
```
data_KGdCO3F2
_chemical_formula_sum 'K16 Gd16 C16 O48 F32'
_symmetry_space_group_name_H-M 'F d d d'
_symmetry_Int_Tables_number 70
_cell_length_a 7.0652
_cell_length_b 11.3272
_cell_length_c 22.0812
_cell_angle_alpha 90.00
_cell_angle_beta 90.00
_cell_angle_gamma 90.00
loop_
_symmetry_equiv_pos_as_xyz
'x,y,z'
'-x,-y,-z'
'-x+1/4,-y+1/4,z'
'x+1/4,y+1/4,-z'
'x,-y+1/4,-z+1/4'
'-x,y+1/4,z+1/4'
'-x+1/4,y,-z+1/4'
'x+1/4,-y,z+1/4'
'x,y+1/2,z+1/2'
'-x,-y+1/2,-z+1/2'
'-x+1/4,-y+3/4,z+1/2'
'x+1/4,y+3/4,-z+1/2'
'x,-y+3/4,-z+3/4'
'-x,y+3/4,z+3/4'
'-x+1/4,y+1/2,-z+3/4'
'x+1/4,-y+1/2,z+3/4'
'x+1/2,y,z+1/2'
'-x+1/2,-y,-z+1/2'
'-x+3/4,-y+1/4,z+1/2'
'x+3/4,y+1/4,-z+1/2'
'x+1/2,-y+1/4,-z+3/4'
'-x+1/2,y+1/4,z+3/4'
'-x+3/4,y,-z+3/4'
'x+3/4,-y,z+3/4'
'x+1/2,y+1/2,z'
'-x+1/2,-y+1/2,-z'
'-x+3/4,-y+3/4,z'
'x+3/4,y+3/4,-z'
'x+1/2,-y+3/4,-z+1/4'
'-x+1/2,y+3/4,z+1/4'
'-x+3/4,y+1/2,-z+1/4'
'x+3/4,-y+1/2,z+1/4'
loop_
_atom_site_label
_atom_site_fract_x
_atom_site_fract_y
_atom_site_fract_z
K1 0.1250 0.1250 0.0427
Gd1 0.1250 0.3077 0.6250
C1 0.1250 0.1250 0.5028
O1 0.0351 0.3742 0.7242
O2 0.1250 0.1250 0.5623
F1 0.0612 0.0207 0.8912
```